The following is a simulated powder X-ray diffraction pattern of Dy5Er2Tm3. It was derived from a DFT-relaxed cell (GGA-PBE, Alexandria), using a wavelength of 1.5418 Å.
Kinematic intensities with the Lorentz-polarization factor, no thermal factor.

Structure:
```
data_Dy5Er2Tm3
_symmetry_space_group_name_H-M 'C 1 2/c 1'
_symmetry_Int_Tables_number 15
_cell_length_a 10.532
_cell_length_b 15.539
_cell_length_c 9.387
_cell_angle_alpha 90.00
_cell_angle_beta 123.99
_cell_angle_gamma 90.00
loop_
_symmetry_equiv_pos_as_xyz
'x,y,z'
'-x,-y,-z'
'-x,y,-z+1/2'
'x,-y,z+1/2'
'x+1/2,y+1/2,z'
'-x+1/2,-y+1/2,-z'
'-x+1/2,y+1/2,-z+1/2'
'x+1/2,-y+1/2,z+1/2'
loop_
_atom_site_label
_atom_site_type_symbol
_atom_site_fract_x
_atom_site_fract_y
_atom_site_fract_z
Dy1 Dy 0.000 0.029 0.250
Dy2 Dy 0.000 0.225 0.250
Dy3 Dy 0.000 0.270 0.750
Dy4 Dy 0.232 0.121 0.714
Er1 Er 0.139 0.375 0.546
Tm1 Tm 0.000 0.476 0.750
Tm2 Tm 0.158 0.120 0.046
```

Main lines, by angle (2θ = 5–70°):
Position (°2θ), I_rel
30.81, 100
32.57, 13
34.05, 24
38.72, 20
58.93, 14
67.27, 11

The following is a simulated powder X-ray diffraction pattern of DyEr3Tm3. It was derived from a DFT-relaxed cell (GGA-PBE, Alexandria), using a wavelength of 1.5418 Å.
Kinematic intensities with the Lorentz-polarization factor, no thermal factor.

Structure:
```
data_DyEr3Tm3
_symmetry_space_group_name_H-M 'P 63/m'
_symmetry_Int_Tables_number 176
_symmetry_space_group_name_Hall '-P 6c'
_cell_length_a 9.4434
_cell_length_b 9.4434
_cell_length_c 5.5525
_cell_angle_alpha 90.00
_cell_angle_beta 90.00
_cell_angle_gamma 120.00
loop_
_atom_site_label
_atom_site_type_symbol
_atom_site_fract_x
_atom_site_fract_y
_atom_site_fract_z
Dy1 Dy 0.3333 0.6667 0.2500
Er1 Er 0.0476 0.8096 0.2500
Tm1 Tm 0.0951 0.6188 0.7500
```

Main lines, by angle (2θ = 5–70°):
Position (°2θ), I_rel
28.88, 24
32.24, 24
33.17, 100
51.19, 20
58.09, 20
61.80, 23

The following is a simulated powder X-ray diffraction pattern of Dy2Er2Tm15. It was derived from a DFT-relaxed cell (GGA-PBE, Alexandria), using a wavelength of 1.5418 Å.
Kinematic intensities with the Lorentz-polarization factor, no thermal factor.

Structure:
```
data_Dy2Er2Tm15
_symmetry_space_group_name_H-M 'R -3 m'
_symmetry_Int_Tables_number 166
_symmetry_space_group_name_Hall '-R 3 2"'
_cell_length_a 11.0109
_cell_length_b 11.0109
_cell_length_c 17.3438
_cell_angle_alpha 90.00
_cell_angle_beta 90.00
_cell_angle_gamma 120.00
loop_
_atom_site_label
_atom_site_type_symbol
_atom_site_fract_x
_atom_site_fract_y
_atom_site_fract_z
Dy1 Dy 0.0000 0.0000 0.1763
Er1 Er 0.0000 0.0000 0.3999
Tm1 Tm 0.0000 0.3007 0.5000
Tm2 Tm 0.0000 0.5000 0.0000
Tm3 Tm 0.0098 0.5049 0.6377
```

Main lines, by angle (2θ = 5–70°):
Position (°2θ), I_rel
28.07, 31
30.94, 31
31.91, 57
32.14, 100
32.53, 58
36.14, 76

The following is a simulated powder X-ray diffraction pattern of Dy5Er3Tm. It was derived from a DFT-relaxed cell (GGA-PBE, Alexandria), using a wavelength of 1.5418 Å.
Kinematic intensities with the Lorentz-polarization factor, no thermal factor.

Structure:
```
data_Dy5Er3Tm
_symmetry_space_group_name_H-M 'C 1 2/m 1'
_symmetry_Int_Tables_number 12
_cell_length_a 14.988
_cell_length_b 11.345
_cell_length_c 9.790
_cell_angle_alpha 90.00
_cell_angle_beta 130.01
_cell_angle_gamma 90.00
loop_
_symmetry_equiv_pos_as_xyz
'x,y,z'
'-x,-y,-z'
'-x,y,-z'
'x,-y,z'
'x+1/2,y+1/2,z'
'-x+1/2,-y+1/2,-z'
'-x+1/2,y+1/2,-z'
'x+1/2,-y+1/2,z'
loop_
_atom_site_label
_atom_site_type_symbol
_atom_site_fract_x
_atom_site_fract_y
_atom_site_fract_z
Dy1 Dy 0.000 0.243 0.000
Dy2 Dy 0.150 0.248 0.747
Dy3 Dy 0.222 0.500 0.038
Dy4 Dy 0.224 0.000 0.235
Er1 Er 0.000 0.000 0.500
Er2 Er 0.000 0.500 0.000
Er3 Er 0.010 0.000 0.820
Er4 Er 0.020 0.500 0.360
Tm1 Tm 0.247 0.000 0.600
```

Main lines, by angle (2θ = 5–70°):
Position (°2θ), I_rel
15.62, 65
31.54, 100
32.35, 72
32.72, 75
35.04, 69
39.57, 49

The following is a simulated powder X-ray diffraction pattern of Dy2Er7Tm3. It was derived from a DFT-relaxed cell (GGA-PBE, Alexandria), using a wavelength of 1.5418 Å.
Kinematic intensities with the Lorentz-polarization factor, no thermal factor.

Structure:
```
data_Dy2Er7Tm3
_symmetry_space_group_name_H-M 'C m m m'
_symmetry_Int_Tables_number 65
_symmetry_space_group_name_Hall '-C 2 2'
_cell_length_a 5.602
_cell_length_b 37.043
_cell_length_c 3.549
_cell_angle_alpha 90.00
_cell_angle_beta 90.00
_cell_angle_gamma 90.00
loop_
_atom_site_label
_atom_site_type_symbol
_atom_site_fract_x
_atom_site_fract_y
_atom_site_fract_z
Dy1 Dy 0.000 0.148 0.000
Er1 Er 0.000 0.000 0.000
Er2 Er 0.000 0.071 0.500
Er3 Er 0.000 0.231 0.000
Er4 Er 0.000 0.409 0.000
Tm1 Tm 0.000 0.315 0.500
Tm2 Tm 0.000 0.500 0.500
```

Main lines, by angle (2θ = 5–70°):
Position (°2θ), I_rel
30.98, 41
31.77, 25
31.95, 58
32.21, 100
34.38, 35
35.34, 25

The following is a simulated powder X-ray diffraction pattern of DyEr4Tm. It was derived from a DFT-relaxed cell (GGA-PBE, Alexandria), using a wavelength of 1.5418 Å.
Kinematic intensities with the Lorentz-polarization factor, no thermal factor.

Structure:
```
data_DyEr4Tm
_symmetry_space_group_name_H-M 'I m m a'
_symmetry_Int_Tables_number 74
_symmetry_space_group_name_Hall '-I 2b 2'
_cell_length_a 5.584
_cell_length_b 21.904
_cell_length_c 6.037
_cell_angle_alpha 90.00
_cell_angle_beta 90.00
_cell_angle_gamma 90.00
loop_
_atom_site_label
_atom_site_type_symbol
_atom_site_fract_x
_atom_site_fract_y
_atom_site_fract_z
Dy1 Dy 0.000 0.000 0.000
Er1 Er 0.000 0.089 0.435
Er2 Er 0.000 0.168 0.924
Tm1 Tm 0.000 0.250 0.422
```

Main lines, by angle (2θ = 5–70°):
Position (°2θ), I_rel
29.59, 18
32.06, 33
32.85, 100
34.01, 29
57.65, 20
60.57, 16

The following is a simulated powder X-ray diffraction pattern of Dy6Er6Tm. It was derived from a DFT-relaxed cell (GGA-PBE, Alexandria), using a wavelength of 1.5418 Å.
Kinematic intensities with the Lorentz-polarization factor, no thermal factor.

Structure:
```
data_Dy6Er6Tm
_symmetry_space_group_name_H-M 'P 1 2/m 1'
_symmetry_Int_Tables_number 10
_cell_length_a 6.494
_cell_length_b 10.908
_cell_length_c 6.505
_cell_angle_alpha 90.00
_cell_angle_beta 115.36
_cell_angle_gamma 90.00
loop_
_symmetry_equiv_pos_as_xyz
'x,y,z'
'-x,-y,-z'
'-x,y,-z'
'x,-y,z'
loop_
_atom_site_label
_atom_site_type_symbol
_atom_site_fract_x
_atom_site_fract_y
_atom_site_fract_z
Dy1 Dy 0.000 0.167 0.000
Dy2 Dy 0.269 0.000 0.742
Dy3 Dy 0.326 0.500 0.610
Er1 Er 0.000 0.267 0.500
Er2 Er 0.500 0.198 0.500
Er3 Er 0.500 0.286 0.000
Tm1 Tm 0.000 0.500 0.000
```

Main lines, by angle (2θ = 5–70°):
Position (°2θ), I_rel
29.46, 84
30.47, 97
32.14, 31
32.60, 41
34.70, 100
35.74, 32

The following is a simulated powder X-ray diffraction pattern of Dy7Er4Tm2. It was derived from a DFT-relaxed cell (GGA-PBE, Alexandria), using a wavelength of 1.5418 Å.
Kinematic intensities with the Lorentz-polarization factor, no thermal factor.

Structure:
```
data_Dy7Er4Tm2
_symmetry_space_group_name_H-M 'P -1'
_symmetry_Int_Tables_number 2
_cell_length_a 6.654
_cell_length_b 8.527
_cell_length_c 8.734
_cell_angle_alpha 116.99
_cell_angle_beta 100.49
_cell_angle_gamma 103.94
loop_
_symmetry_equiv_pos_as_xyz
'x,y,z'
'-x,-y,-z'
loop_
_atom_site_label
_atom_site_type_symbol
_atom_site_fract_x
_atom_site_fract_y
_atom_site_fract_z
Dy1 Dy 0.000 0.000 0.000
Dy2 Dy 0.086 0.359 0.543
Dy3 Dy 0.242 0.993 0.430
Dy4 Dy 0.351 0.529 0.314
Er1 Er 0.178 0.672 0.007
Er2 Er 0.420 0.852 0.776
Tm1 Tm 0.299 0.271 0.869
```

Main lines, by angle (2θ = 5–70°):
Position (°2θ), I_rel
30.54, 63
31.77, 73
32.04, 100
32.38, 100
32.50, 67
32.79, 94